Entry 1:
BaH4O3: theoretical PXRD pattern (Cu Kα), based on the GGA-PBE geometry in the Materials Project.
Neutral-atom scattering factors, no anomalous dispersion.

Atomic structure:
```
BaH4O3
1.0
4.176 0.000 0.000
0.077 6.439 0.000
0.076 2.389 6.799
Ba H O
2 8 6
direct
0.000 0.000 0.000
0.498 0.270 0.436
0.189 0.450 0.057
0.308 0.820 0.379
0.499 0.367 0.886
0.501 0.784 0.781
0.698 0.795 0.377
0.805 0.454 0.056
0.997 0.486 0.655
0.999 0.902 0.550
0.016 0.954 0.407
0.499 0.306 0.025
0.505 0.733 0.332
0.506 0.935 0.782
0.991 0.335 0.654
0.997 0.524 0.097
```

Principal peaks in the range 2θ from 15° to 90°, most intense first:
- 2θ 16.02, rel. 100.0
- 2θ 25.11, rel. 92.4
- 2θ 24.95, rel. 90.8
- 2θ 26.22, rel. 89.2
- 2θ 43.31, rel. 78.6
- 2θ 27.92, rel. 76.8
- 2θ 40.66, rel. 66.0
- 2θ 36.42, rel. 59.3
- 2θ 22.63, rel. 57.5
- 2θ 36.74, rel. 57.3

=====

Entry 2:
BaH16O10: theoretical PXRD pattern (Cu Kα), based on the GGA-PBE geometry in the Materials Project.
Neutral-atom scattering factors, no anomalous dispersion.

Atomic structure:
```
BaH16O10
1.0
6.388 0.000 0.000
-0.065 6.421 0.000
-0.271 -0.544 11.779
Ba H O
2 32 20
direct
0.000 0.000 0.000
0.003 0.004 0.513
0.050 0.467 0.648
0.104 0.337 0.290
0.173 0.731 0.218
0.186 0.685 0.791
0.278 0.613 0.112
0.281 0.586 0.902
0.282 0.416 0.605
0.284 0.395 0.391
0.307 0.159 0.793
0.330 0.158 0.218
0.388 0.715 0.393
0.402 0.303 0.114
0.403 0.733 0.606
0.406 0.269 0.905
0.447 0.947 0.368
0.464 0.965 0.648
0.551 0.976 0.127
0.559 0.935 0.857
0.604 0.273 0.392
0.605 0.296 0.609
0.606 0.710 0.900
0.617 0.740 0.120
0.713 0.125 0.295
0.716 0.389 0.902
0.721 0.606 0.394
0.723 0.398 0.120
0.724 0.615 0.606
0.726 0.228 0.722
0.785 0.729 0.724
0.945 0.435 0.856
0.957 0.471 0.139
0.958 0.543 0.387
0.137 0.325 0.370
0.140 0.677 0.140
0.147 0.646 0.868
0.155 0.354 0.641
0.325 0.850 0.369
0.343 0.156 0.135
0.345 0.864 0.643
0.349 0.129 0.871
0.490 0.504 0.078
0.493 0.488 0.427
0.495 0.491 0.951
0.501 0.502 0.554
0.660 0.127 0.372
0.668 0.172 0.647
0.672 0.830 0.861
0.675 0.885 0.132
0.838 0.322 0.861
0.846 0.682 0.651
0.865 0.665 0.386
0.867 0.344 0.137
```

Principal peaks in the range 2θ from 15° to 90°, most intense first:
- 2θ 15.04, rel. 100.0
- 2θ 24.53, rel. 50.8
- 2θ 24.92, rel. 48.0
- 2θ 24.30, rel. 47.5
- 2θ 25.49, rel. 44.2
- 2θ 19.73, rel. 42.1
- 2θ 19.51, rel. 41.9
- 2θ 31.12, rel. 40.3
- 2θ 35.62, rel. 39.5
- 2θ 19.99, rel. 31.5

=====

Entry 3:
BaP2H2O2: theoretical PXRD pattern (Cu Kα), based on the GGA-PBE geometry in the Materials Project.
Neutral-atom scattering factors, no anomalous dispersion.

Atomic structure:
```
BaP2H2O2
1.0
3.541 -9.685 0.000
3.541 9.685 0.000
0.000 0.000 7.514
Ba P H O
4 8 8 8
direct
0.000 0.000 0.000
0.000 0.000 0.500
0.500 0.500 0.000
0.500 0.500 0.500
0.012 0.311 0.247
0.189 0.488 0.747
0.311 0.012 0.747
0.488 0.189 0.247
0.512 0.811 0.753
0.689 0.988 0.253
0.811 0.512 0.253
0.988 0.689 0.753
0.013 0.325 0.056
0.175 0.487 0.556
0.325 0.013 0.556
0.487 0.175 0.056
0.513 0.825 0.944
0.675 0.987 0.444
0.825 0.513 0.444
0.987 0.675 0.944
0.161 0.297 0.267
0.203 0.339 0.767
0.297 0.161 0.767
0.339 0.203 0.267
0.661 0.797 0.733
0.703 0.839 0.233
0.797 0.661 0.233
0.839 0.703 0.733
```

Principal peaks in the range 2θ from 15° to 90°, most intense first:
- 2θ 30.10, rel. 100.0
- 2θ 36.07, rel. 74.2
- 2θ 25.43, rel. 72.0
- 2θ 34.82, rel. 70.4
- 2θ 31.29, rel. 67.1
- 2θ 26.81, rel. 54.8
- 2θ 27.63, rel. 44.0
- 2θ 45.01, rel. 32.1
- 2θ 39.62, rel. 30.8
- 2θ 37.71, rel. 28.7

=====

Entry 4:
BaP2H4O4: theoretical PXRD pattern (Cu Kα), based on the GGA-PBE geometry in the Materials Project.
Neutral-atom scattering factors, no anomalous dispersion.

Atomic structure:
```
BaP2H4O4
1.0
3.171 -8.029 0.000
3.171 8.029 0.000
0.000 0.000 6.292
Ba P H O
2 4 8 8
direct
0.250 0.750 0.750
0.750 0.250 0.250
0.110 0.890 0.250
0.390 0.610 0.250
0.610 0.390 0.750
0.890 0.110 0.750
0.068 0.178 0.624
0.178 0.068 0.124
0.322 0.432 0.124
0.432 0.322 0.624
0.568 0.678 0.376
0.678 0.568 0.876
0.822 0.932 0.876
0.932 0.822 0.376
0.012 0.694 0.104
0.194 0.512 0.396
0.306 0.988 0.396
0.488 0.806 0.104
0.512 0.194 0.896
0.694 0.012 0.604
0.806 0.488 0.604
0.988 0.306 0.896
```

Principal peaks in the range 2θ from 15° to 90°, most intense first:
- 2θ 25.98, rel. 100.0
- 2θ 34.39, rel. 37.1
- 2θ 20.64, rel. 19.6
- 2θ 28.14, rel. 16.7
- 2θ 28.37, rel. 16.4
- 2θ 40.39, rel. 15.6
- 2θ 48.51, rel. 14.8
- 2θ 44.42, rel. 14.6
- 2θ 48.79, rel. 14.5
- 2θ 30.30, rel. 11.1